For Cu3NiP2O9, a cell relaxed with PBE+U gives the calculated X-ray diffraction stick pattern in this record (Cu Kα).
Neutral-atom scattering factors, no anomalous dispersion.

```
60
Lattice="8.2952 0.0000 0.0000 0.0000 9.9534 0.0000 -5.8613 0.0000 7.9643" Properties=species:S:1:pos:R:3 pbc="T T T"
Cu -1.7102 0.4260 3.1665
Cu -4.6409 4.5507 7.1486
Cu 0.6816 1.8632 2.0044
Cu -2.2491 3.1135 5.9866
Cu -1.6537 6.0492 6.9785
Cu 1.2770 8.8808 2.9964
Cu 1.1568 1.0726 4.9679
Cu 4.0875 3.9041 0.9858
Cu 4.6829 6.8399 1.9777
Cu 1.7522 8.0902 5.9599
Cu 7.0747 5.4027 0.8157
Cu 4.1440 9.5273 4.7978
Ni -0.7173 6.4252 3.9933
Ni 2.2133 8.5048 0.0112
Ni 0.2205 1.4485 7.9531
Ni 3.1512 3.5282 3.9710
P -4.8021 1.5678 6.8829
P -1.8714 3.4089 2.9008
P 1.7757 5.9376 1.9764
P -1.1549 8.9924 5.9586
P 3.5888 0.9609 2.0057
P 0.6581 4.0157 5.9879
P 4.3052 6.5445 5.0635
P 7.2359 8.3856 1.0813
O -4.5692 7.4224 6.2391
O -1.6385 7.5076 2.2570
O -4.1329 0.1655 6.7801
O -1.2022 4.8112 2.7980
O 0.7288 5.5558 0.8741
O -2.2019 9.3743 4.8563
O -2.4523 6.3477 5.2093
O 0.4784 8.5824 1.2272
O 1.3303 2.3127 0.2360
O -1.6004 2.6640 4.2181
O 0.1902 0.6113 3.3594
O -2.7405 4.3654 7.3415
O 1.1139 6.7413 3.1274
O -1.8168 8.1887 7.1096
O 2.8090 6.8575 1.2279
O -0.1217 8.0726 5.2101
O -0.0451 5.2836 5.5186
O 2.8856 9.6464 1.5364
O -0.4517 0.3070 6.4279
O 2.4789 4.6697 2.4457
O 2.5555 1.8808 2.7542
O -0.3752 3.0959 6.7364
O 4.2506 1.7646 0.8547
O 1.3199 3.2121 4.8369
O 5.1743 5.5879 0.6228
O 2.2436 9.3421 4.6049
O 4.0342 7.2894 3.7462
O 1.1036 7.6407 7.7283
O 1.9555 1.3710 6.7371
O 4.8861 3.6057 2.7549
O 4.6357 0.5791 3.1080
O 1.7051 4.3976 7.0902
O 3.6360 5.1422 5.1663
O 6.5667 9.7879 1.1842
O 4.0723 2.4457 5.7073
O 7.0030 2.5310 1.7252
```

Principal peaks in the range 2θ = 10–90°, by angle:
two_theta, Rel. int., h k l
14.26, 53, 0 1 1
28.18, 37, 2 1 0
29.17, 100, 1 3 -1
32.46, 87, 3 0 -2
33.27, 51, 1 2 -3
33.55, 57, 1 1 2
33.67, 38, 3 1 -2
35.12, 47, 3 1 -3
36.34, 40, 2 0 -4
39.10, 44, 1 3 -3